Diffraction record for Sr5Mg. The X-ray diffraction stick pattern is theoretical, not measured: it uses DFT lattice parameters and positions (GGA-PBE) and Cu Kα (weighted mean of Kα1 and Kα2).
Neutral-atom scattering factors, no anomalous dispersion.

Structure:
Cell: 7.1005 7.1005 6.6667 Å, 90.00 90.00 120.00°
Space group P-62m (No. 189)
Inequivalent atoms, fractional coordinates:
Sr1 0.0000 0.6826 0.0000 (multiplicity 3)
Sr2 0.3333 0.6667 0.5000 (multiplicity 2)
Mg1 0.0000 0.0000 0.5000 (multiplicity 1)

Top 10 peaks for 10° ≤ 2θ ≤ 80°, in order of falling intensity:
- (1 1 1), 2θ = 28.5°, rel. 100
- (0 0 2), 2θ = 26.7°, rel. 26
- (1 1 0), 2θ = 25.1°, rel. 24
- (3 0 2), 2θ = 52.4°, rel. 23
- (1 1 3), 2θ = 48.3°, rel. 23
- (3 0 0), 2θ = 44.2°, rel. 19
- (1 1 2), 2θ = 37.0°, rel. 17
- (2 2 1), 2θ = 53.4°, rel. 16
- (4 1 1), 2θ = 71.8°, rel. 13
- (1 0 1), 2θ = 19.6°, rel. 9

=====

Diffraction record for Cs2KAgF6. The X-ray diffraction stick pattern is theoretical, not measured: it uses DFT lattice parameters and positions (GGA-PBE) and Cu Kα (weighted mean of Kα1 and Kα2).
Neutral-atom scattering factors, no anomalous dispersion.

Structure:
Cell: 9.4071 9.4071 9.4071 Å, 90.00 90.00 90.00°
Space group Fm-3m (No. 225)
Inequivalent atoms, fractional coordinates:
Cs1 0.2500 0.2500 0.2500 (multiplicity 8)
K1 0.0000 0.0000 0.0000 (multiplicity 4)
Ag1 0.0000 0.0000 0.5000 (multiplicity 4)
F1 0.0000 0.0000 0.2740 (multiplicity 24)

Top 10 peaks for 10° ≤ 2θ ≤ 80°, in order of falling intensity:
- (2 2 0), 2θ = 26.8°, rel. 100
- (4 2 2), 2θ = 47.3°, rel. 40
- (4 0 0), 2θ = 38.3°, rel. 37
- (4 4 0), 2θ = 55.2°, rel. 23
- (6 4 2), 2θ = 75.7°, rel. 21
- (6 2 0), 2θ = 62.4°, rel. 19
- (2 2 2), 2θ = 33.0°, rel. 13
- (1 1 1), 2θ = 16.3°, rel. 12
- (4 4 4), 2θ = 69.2°, rel. 7
- (6 2 2), 2θ = 65.9°, rel. 4

=====

Diffraction record for CuH8C6N6O2. The X-ray diffraction stick pattern is theoretical, not measured: it uses DFT lattice parameters and positions (GGA-PBE) and Cu Kα (weighted mean of Kα1 and Kα2).
Neutral-atom scattering factors, no anomalous dispersion.

Structure:
Cell: 12.9454 7.2290 6.6110 Å, 90.00 117.27 90.00°
Space group C2/m (No. 12)
Inequivalent atoms, fractional coordinates:
Cu1 0.0000 0.0000 0.0000 (multiplicity 2)
H1 0.1843 0.5000 0.3380 (multiplicity 4)
H2 0.1855 0.1245 0.6020 (multiplicity 8)
H3 0.2426 0.5000 0.7044 (multiplicity 4)
C1 0.0819 0.3454 0.8283 (multiplicity 8)
C2 0.2208 0.0000 0.5590 (multiplicity 4)
N1 0.0523 0.1961 0.8607 (multiplicity 8)
N2 0.1190 0.5000 0.7886 (multiplicity 4)
O1 0.1886 0.0000 0.3211 (multiplicity 4)

Top 10 peaks for 10° ≤ 2θ ≤ 80°, in order of falling intensity:
- (2 0 1), 2θ = 26.2°, rel. 100
- (1 1 -1), 2θ = 18.2°, rel. 97
- (3 1 -1), 2θ = 24.4°, rel. 88
- (0 0 1), 2θ = 15.1°, rel. 62
- (1 1 0), 2θ = 14.5°, rel. 56
- (2 0 0), 2θ = 15.4°, rel. 51
- (4 2 -2), 2θ = 40.8°, rel. 44
- (2 0 -1), 2θ = 15.9°, rel. 37
- (2 2 -1), 2θ = 29.4°, rel. 31
- (1 1 -2), 2θ = 30.4°, rel. 28

=====

Diffraction record for Er5Bi3. The X-ray diffraction stick pattern is theoretical, not measured: it uses DFT lattice parameters and positions (GGA-PBE) and Cu Kα (weighted mean of Kα1 and Kα2).
Neutral-atom scattering factors, no anomalous dispersion.

Structure:
Cell: 11.9998 9.3986 8.2612 Å, 90.00 90.00 90.00°
Space group Pnma (No. 62)
Inequivalent atoms, fractional coordinates:
Er1 0.0061 0.2500 0.0262 (multiplicity 4)
Er2 0.0685 0.0591 0.6955 (multiplicity 8)
Er3 0.2104 0.7500 0.3456 (multiplicity 4)
Er4 0.2315 0.2500 0.3227 (multiplicity 4)
Bi1 0.0208 0.7500 0.5916 (multiplicity 4)
Bi2 0.1740 0.5107 0.0673 (multiplicity 8)

Top 10 peaks for 10° ≤ 2θ ≤ 80°, in order of falling intensity:
- (1 2 2), 2θ = 29.7°, rel. 100
- (2 2 2), 2θ = 32.5°, rel. 96
- (3 2 1), 2θ = 31.3°, rel. 55
- (4 0 1), 2θ = 31.7°, rel. 54
- (4 2 0), 2θ = 35.5°, rel. 46
- (0 4 0), 2θ = 38.3°, rel. 44
- (1 0 3), 2θ = 33.4°, rel. 29
- (0 3 1), 2θ = 30.5°, rel. 26
- (2 1 3), 2θ = 37.2°, rel. 26
- (3 0 2), 2θ = 31.1°, rel. 26

=====

Diffraction record for GdB4Rh4. The X-ray diffraction stick pattern is theoretical, not measured: it uses DFT lattice parameters and positions (GGA-PBE) and Cu Kα (weighted mean of Kα1 and Kα2).
Neutral-atom scattering factors, no anomalous dispersion.

Structure:
Cell: 5.3505 5.3505 7.4829 Å, 90.00 90.00 90.00°
Space group P4_2/nmc (No. 137, origin choice 2)
Inequivalent atoms, fractional coordinates:
Gd1 0.2500 0.7500 0.2500 (multiplicity 2)
B1 0.0811 0.2500 0.0983 (multiplicity 8)
Rh1 0.0012 0.7500 0.6061 (multiplicity 8)

Top 10 peaks for 10° ≤ 2θ ≤ 80°, in order of falling intensity:
- (2 1 1), 2θ = 39.5°, rel. 100
- (2 0 1), 2θ = 35.6°, rel. 76
- (1 0 3), 2θ = 39.9°, rel. 72
- (1 0 2), 2θ = 29.1°, rel. 43
- (2 1 2), 2θ = 45.0°, rel. 34
- (2 2 4), 2θ = 70.8°, rel. 30
- (1 1 2), 2θ = 33.7°, rel. 23
- (3 2 1), 2θ = 64.0°, rel. 23
- (1 1 0), 2θ = 23.5°, rel. 22
- (3 0 3), 2θ = 64.2°, rel. 19